Diffraction record for Pm12RuAu6. The powder diffraction line list is computed, not measured: it uses a crystal structure in Alexandria, relaxed with PBE and Cu Kα, 1.54184 Å.
Neutral-atom scattering factors, no anomalous dispersion.

Structure:
```
data_Pm12RuAu6
_symmetry_space_group_name_H-M 'R -3'
_symmetry_Int_Tables_number 148
_symmetry_space_group_name_Hall '-R 3'
_cell_length_a 12.8718
_cell_length_b 12.8718
_cell_length_c 12.5098
_cell_angle_alpha 90.00
_cell_angle_beta 90.00
_cell_angle_gamma 120.00
loop_
_atom_site_label
_atom_site_fract_x
_atom_site_fract_y
_atom_site_fract_z
_atom_site_occupancy
Pm1 0.0299 0.2102 0.3956 1
Pm2 0.0536 0.2005 0.8826 1
Ru1 0.0000 0.0000 0.0000 1
Au1 0.0479 0.2737 0.6448 1
```

The 10 most intense peaks (2θ = 15–90°), by angle:
h k l, d/Å, I (rel.)
0 0 3, 4.169, 27
2 1 1, 3.993, 95
1 0 4, 3.008, 59
3 1 2, 2.772, 73
2 1 4, 2.511, 100
1 4 0, 2.433, 89
5 -3 2, 2.367, 27
6 -5 2, 1.907, 22
6 -4 4, 1.748, 32
4 5 2, 1.392, 26